Starting from a crystal structure in Alexandria, relaxed with PBE+U, the powder diffractogram of Li4MnCo2O7 was calculated for Cu Kα X-rays.
No peak broadening, texture or thermal motion is included.

Crystal structure
```
data_Li4MnCo2O7
_cell_length_a 12.833
_cell_length_b 2.904
_cell_length_c 14.502
_cell_angle_alpha 90.00
_cell_angle_beta 110.84
_cell_angle_gamma 90.00
_symmetry_space_group_name_H-M 'C 1 2/m 1'
_symmetry_Int_Tables_number 12
loop_
_symmetry_equiv_pos_as_xyz
'x,y,z'
'-x,-y,-z'
'-x,y,-z'
'x,-y,z'
'x+1/2,y+1/2,z'
'-x+1/2,-y+1/2,-z'
'-x+1/2,y+1/2,-z'
'x+1/2,-y+1/2,z'
loop_
_atom_site_label
_atom_site_type_symbol
_atom_site_fract_x
_atom_site_fract_y
_atom_site_fract_z
_atom_site_occupancy
Li1 Li 0.000 0.000 0.000 1
Li2 Li 0.000 0.000 0.500 1
Li3 Li 0.072 0.500 0.354 1
Li4 Li 0.141 0.000 0.209 1
Li5 Li 0.205 0.500 0.061 1
Mn1 Mn 0.142 0.000 0.715 1
Co1 Co 0.061 0.500 0.866 1
Co2 Co 0.215 0.500 0.569 1
O1 O 0.014 0.000 0.753 1
O2 O 0.068 0.500 0.112 1
O3 O 0.080 0.500 0.618 1
O4 O 0.140 0.000 0.953 1
O5 O 0.146 0.000 0.468 1
O6 O 0.203 0.500 0.806 1
O7 O 0.227 0.500 0.327 1
```

Most intense lines, 10 to 90 degrees two-theta, by angle:
- 2θ 18.18, I 100, hkl 2 0 1
- 2θ 36.08, I 25, hkl 1 1 -3
- 2θ 43.41, I 57, hkl 1 1 4
- 2θ 43.63, I 26, hkl 6 0 -4
- 2θ 62.99, I 14, hkl 7 1 0
- 2θ 63.48, I 13, hkl 5 1 -8